1.
The following is a theoretical powder XRD pattern of BaFe2F7. It was derived from a crystal structure in Alexandria, relaxed with PBE+U, using Cu Kα (weighted mean of Kα1 and Kα2).
Neutral-atom scattering factors, no anomalous dispersion.

Largest 10 diffraction maxima, low angle first, 10° ≤ 2θ ≤ 90°:
| d [Å] | intensity |
| --- | --- |
| 5.627 | 40 |
| 3.331 | 64 |
| 3.258 | 100 |
| 3.181 | 56 |
| 3.101 | 78 |
| 2.300 | 34 |
| 1.998 | 33 |
| 1.909 | 41 |
| 1.876 | 35 |
| 1.792 | 36 |

Cell and atoms:
abc: 6.223 6.223 3.995
angles: 90.00 90.00 115.28
Fractional coordinates of all 10 atoms:
1 Ba 0.000 0.000 0.000
2 Fe 0.309 0.691 0.500
3 Fe 0.691 0.309 0.500
4 F 0.045 0.327 0.500
5 F 0.292 0.708 0.000
6 F 0.327 0.045 0.500
7 F 0.500 0.500 0.500
8 F 0.673 0.955 0.500
9 F 0.708 0.292 0.000
10 F 0.955 0.673 0.500

***

2.
The following is a theoretical powder XRD pattern of BaFeF5. It was derived from a crystal structure in Alexandria, relaxed with PBE+U, using Cu Kα (weighted mean of Kα1 and Kα2).
Neutral-atom scattering factors, no anomalous dispersion.

Largest 10 diffraction maxima, low angle first, 10° ≤ 2θ ≤ 90°:
| d [Å] | intensity |
| --- | --- |
| 4.830 | 25 |
| 4.016 | 100 |
| 3.829 | 66 |
| 3.327 | 30 |
| 3.277 | 40 |
| 3.204 | 48 |
| 2.852 | 36 |
| 2.771 | 22 |
| 2.280 | 49 |
| 2.196 | 23 |

Cell and atoms:
abc: 9.682 8.032 14.583
angles: 90.00 127.73 90.00
Fractional coordinates of all 56 atoms:
1 Ba 0.171 0.216 0.357
2 Ba 0.171 0.284 0.857
3 Ba 0.270 0.718 0.544
4 Ba 0.270 0.782 0.044
5 Ba 0.730 0.218 0.956
6 Ba 0.730 0.282 0.456
7 Ba 0.829 0.716 0.143
8 Ba 0.829 0.784 0.643
9 Fe 0.291 0.208 0.661
10 Fe 0.291 0.292 0.161
11 Fe 0.308 0.695 0.315
12 Fe 0.308 0.805 0.815
13 Fe 0.692 0.195 0.185
14 Fe 0.692 0.305 0.685
15 Fe 0.709 0.708 0.839
16 Fe 0.709 0.792 0.339
17 F 0.071 0.218 0.635
18 F 0.071 0.282 0.135
19 F 0.120 0.730 0.152
20 F 0.120 0.770 0.652
21 F 0.154 0.559 0.333
22 F 0.154 0.941 0.833
23 F 0.218 0.616 0.849
24 F 0.218 0.884 0.349
25 F 0.230 0.049 0.542
26 F 0.230 0.451 0.042
27 F 0.233 0.114 0.055
28 F 0.233 0.386 0.555
29 F 0.372 0.017 0.778
30 F 0.372 0.483 0.278
31 F 0.392 0.160 0.299
32 F 0.392 0.340 0.799
33 F 0.459 0.693 0.786
34 F 0.459 0.807 0.286
35 F 0.493 0.685 0.480
36 F 0.493 0.815 0.980
37 F 0.507 0.185 0.020
38 F 0.507 0.315 0.520
39 F 0.541 0.193 0.714
40 F 0.541 0.307 0.214
41 F 0.608 0.660 0.201
42 F 0.608 0.840 0.701
43 F 0.628 0.517 0.722
44 F 0.628 0.983 0.222
45 F 0.767 0.614 0.445
46 F 0.767 0.886 0.945
47 F 0.770 0.549 0.958
48 F 0.770 0.951 0.458
49 F 0.782 0.116 0.651
50 F 0.782 0.384 0.151
51 F 0.846 0.059 0.167
52 F 0.846 0.441 0.667
53 F 0.880 0.230 0.348
54 F 0.880 0.270 0.848
55 F 0.929 0.718 0.865
56 F 0.929 0.782 0.365

***

3.
The following is a theoretical powder XRD pattern of Ba2Fe3F10. It was derived from a crystal structure in Alexandria, relaxed with PBE+U, using Cu Kα (weighted mean of Kα1 and Kα2).
Neutral-atom scattering factors, no anomalous dispersion.

Largest 10 diffraction maxima, low angle first, 10° ≤ 2θ ≤ 90°:
| d [Å] | intensity |
| --- | --- |
| 3.326 | 100 |
| 3.281 | 60 |
| 3.199 | 54 |
| 3.096 | 24 |
| 2.375 | 33 |
| 2.225 | 55 |
| 2.175 | 16 |
| 1.853 | 20 |
| 1.779 | 16 |
| 1.680 | 16 |

Cell and atoms:
abc: 10.085 10.085 8.007
angles: 111.22 111.22 35.76
Fractional coordinates of all 30 atoms:
1 Ba 0.116 0.116 0.220
2 Ba 0.216 0.216 0.817
3 Ba 0.784 0.784 0.183
4 Ba 0.884 0.884 0.780
5 Fe 0.241 0.759 0.500
6 Fe 0.323 0.323 0.482
7 Fe 0.425 0.425 0.039
8 Fe 0.575 0.575 0.961
9 Fe 0.677 0.677 0.518
10 Fe 0.759 0.241 0.500
11 F 0.000 0.500 0.500
12 F 0.017 0.017 0.692
13 F 0.106 0.587 0.015
14 F 0.120 0.653 0.473
15 F 0.264 0.264 0.218
16 F 0.266 0.734 0.000
17 F 0.347 0.880 0.527
18 F 0.369 0.369 0.756
19 F 0.413 0.894 0.985
20 F 0.477 0.477 0.313
21 F 0.500 0.000 0.500
22 F 0.523 0.523 0.687
23 F 0.587 0.106 0.015
24 F 0.631 0.631 0.244
25 F 0.653 0.120 0.473
26 F 0.734 0.266 0.000
27 F 0.736 0.736 0.782
28 F 0.880 0.347 0.527
29 F 0.894 0.413 0.985
30 F 0.983 0.983 0.308

***

4.
The following is a theoretical powder XRD pattern of BaLiFeF6. It was derived from a crystal structure in Alexandria, relaxed with PBE+U, using Cu Kα (weighted mean of Kα1 and Kα2).
Neutral-atom scattering factors, no anomalous dispersion.

Largest 10 diffraction maxima, low angle first, 10° ≤ 2θ ≤ 90°:
| d [Å] | intensity |
| --- | --- |
| 4.639 | 28 |
| 3.573 | 100 |
| 2.679 | 15 |
| 2.416 | 16 |
| 2.398 | 16 |
| 2.320 | 11 |
| 2.143 | 19 |
| 1.936 | 33 |
| 1.673 | 21 |
| 1.546 | 10 |

Cell and atoms:
abc: 5.357 5.357 5.601
angles: 90.00 90.00 120.00
Fractional coordinates of all 9 atoms:
1 Ba 0.000 0.000 0.000
2 Li 0.667 0.333 0.500
3 Fe 0.333 0.667 0.500
4 F 0.015 0.388 0.701
5 F 0.015 0.627 0.299
6 F 0.373 0.388 0.299
7 F 0.373 0.985 0.701
8 F 0.612 0.627 0.701
9 F 0.612 0.985 0.299

***

5.
The following is a theoretical powder XRD pattern of Ba7MnFe6F34. It was derived from a crystal structure in Alexandria, relaxed with PBE+U, using Cu Kα (weighted mean of Kα1 and Kα2).
Neutral-atom scattering factors, no anomalous dispersion.

Largest 10 diffraction maxima, low angle first, 10° ≤ 2θ ≤ 90°:
| d [Å] | intensity |
| --- | --- |
| 8.461 | 24 |
| 3.900 | 52 |
| 3.713 | 42 |
| 3.415 | 100 |
| 3.340 | 35 |
| 3.239 | 25 |
| 3.195 | 90 |
| 3.183 | 32 |
| 2.315 | 32 |
| 2.160 | 31 |

Cell and atoms:
abc: 10.415 10.415 7.840
angles: 100.16 100.16 67.54
Fractional coordinates of all 48 atoms:
1 Ba 0.000 0.000 0.000
2 Ba 0.159 0.556 0.704
3 Ba 0.263 0.263 0.127
4 Ba 0.444 0.841 0.296
5 Ba 0.556 0.159 0.704
6 Ba 0.737 0.737 0.873
7 Ba 0.841 0.444 0.296
8 Mn 0.500 0.500 0.500
9 Fe 0.133 0.648 0.202
10 Fe 0.172 0.172 0.540
11 Fe 0.352 0.867 0.798
12 Fe 0.648 0.133 0.202
13 Fe 0.828 0.828 0.460
14 Fe 0.867 0.352 0.798
15 F 0.003 0.264 0.993
16 F 0.015 0.771 0.387
17 F 0.041 0.517 0.198
18 F 0.110 0.110 0.304
19 F 0.119 0.354 0.457
20 F 0.209 0.791 0.202
21 F 0.209 0.791 0.798
22 F 0.229 0.985 0.613
23 F 0.247 0.512 0.034
24 F 0.251 0.251 0.762
25 F 0.264 0.003 0.993
26 F 0.276 0.554 0.389
27 F 0.354 0.119 0.457
28 F 0.431 0.431 0.685
29 F 0.446 0.724 0.611
30 F 0.483 0.959 0.802
31 F 0.488 0.753 0.966
32 F 0.512 0.247 0.034
33 F 0.517 0.041 0.198
34 F 0.554 0.276 0.389
35 F 0.569 0.569 0.315
36 F 0.646 0.881 0.543
37 F 0.724 0.446 0.611
38 F 0.736 0.997 0.007
39 F 0.749 0.749 0.238
40 F 0.753 0.488 0.966
41 F 0.771 0.015 0.387
42 F 0.791 0.209 0.202
43 F 0.791 0.209 0.798
44 F 0.881 0.646 0.543
45 F 0.890 0.890 0.696
46 F 0.959 0.483 0.802
47 F 0.985 0.229 0.613
48 F 0.997 0.736 0.007

***

6.
The following is a theoretical powder XRD pattern of BaFe2P2O7F2. It was derived from a crystal structure in Alexandria, relaxed with PBE+U, using Cu Kα (weighted mean of Kα1 and Kα2).
Neutral-atom scattering factors, no anomalous dispersion.

Largest 10 diffraction maxima, low angle first, 10° ≤ 2θ ≤ 90°:
| d [Å] | intensity |
| --- | --- |
| 5.995 | 19 |
| 4.358 | 18 |
| 3.696 | 100 |
| 3.480 | 45 |
| 2.998 | 57 |
| 2.791 | 46 |
| 2.777 | 51 |
| 2.382 | 25 |
| 2.285 | 27 |
| 2.045 | 30 |

Cell and atoms:
abc: 6.905 12.087 4.673
angles: 90.00 90.00 90.00
Fractional coordinates of all 28 atoms:
1 Ba 0.250 0.250 0.102
2 Ba 0.750 0.750 0.898
3 Fe 0.000 0.000 0.500
4 Fe 0.000 0.500 0.500
5 Fe 0.500 0.000 0.500
6 Fe 0.500 0.500 0.500
7 P 0.250 0.626 0.987
8 P 0.250 0.874 0.987
9 P 0.750 0.126 0.013
10 P 0.750 0.374 0.013
11 O 0.064 0.616 0.810
12 O 0.064 0.884 0.810
13 O 0.250 0.551 0.251
14 O 0.250 0.750 0.124
15 O 0.250 0.949 0.251
16 O 0.436 0.616 0.810
17 O 0.436 0.884 0.810
18 O 0.564 0.116 0.190
19 O 0.564 0.384 0.190
20 O 0.750 0.051 0.749
21 O 0.750 0.250 0.876
22 O 0.750 0.449 0.749
23 O 0.936 0.116 0.190
24 O 0.936 0.384 0.190
25 F 0.250 0.113 0.627
26 F 0.250 0.387 0.627
27 F 0.750 0.613 0.373
28 F 0.750 0.887 0.373

***

7.
The following is a theoretical powder XRD pattern of BaFePO4F2. It was derived from a crystal structure in Alexandria, relaxed with PBE+U, using Cu Kα (weighted mean of Kα1 and Kα2).
Neutral-atom scattering factors, no anomalous dispersion.

Largest 10 diffraction maxima, low angle first, 10° ≤ 2θ ≤ 90°:
| d [Å] | intensity |
| --- | --- |
| 4.416 | 38 |
| 3.430 | 38 |
| 3.324 | 100 |
| 3.184 | 55 |
| 3.120 | 50 |
| 2.930 | 33 |
| 2.862 | 35 |
| 2.585 | 29 |
| 2.310 | 31 |
| 1.751 | 32 |

Cell and atoms:
abc: 5.297 13.018 8.024
angles: 90.00 117.58 90.00
Fractional coordinates of all 36 atoms:
1 Ba 0.143 0.204 0.188
2 Ba 0.143 0.296 0.688
3 Ba 0.857 0.704 0.312
4 Ba 0.857 0.796 0.812
5 Fe 0.000 0.000 0.500
6 Fe 0.000 0.500 0.000
7 Fe 0.500 0.000 0.000
8 Fe 0.500 0.500 0.500
9 P 0.373 0.612 0.805
10 P 0.373 0.888 0.305
11 P 0.627 0.112 0.695
12 P 0.627 0.388 0.195
13 O 0.225 0.596 0.932
14 O 0.225 0.904 0.432
15 O 0.279 0.716 0.705
16 O 0.279 0.784 0.205
17 O 0.295 0.115 0.559
18 O 0.295 0.385 0.059
19 O 0.308 0.522 0.662
20 O 0.308 0.978 0.162
21 O 0.692 0.022 0.838
22 O 0.692 0.478 0.338
23 O 0.705 0.615 0.941
24 O 0.705 0.885 0.441
25 O 0.721 0.216 0.795
26 O 0.721 0.284 0.295
27 O 0.775 0.096 0.568
28 O 0.775 0.404 0.068
29 F 0.174 0.555 0.266
30 F 0.174 0.945 0.766
31 F 0.338 0.138 0.951
32 F 0.338 0.362 0.451
33 F 0.662 0.638 0.549
34 F 0.662 0.862 0.049
35 F 0.826 0.055 0.234
36 F 0.826 0.445 0.734

***

8.
The following is a theoretical powder XRD pattern of BaFePb2F8. It was derived from a crystal structure in Alexandria, relaxed with PBE+U, using Cu Kα (weighted mean of Kα1 and Kα2).
Neutral-atom scattering factors, no anomalous dispersion.

Largest 10 diffraction maxima, low angle first, 10° ≤ 2θ ≤ 90°:
| d [Å] | intensity |
| --- | --- |
| 5.750 | 20 |
| 3.634 | 64 |
| 3.329 | 100 |
| 3.311 | 53 |
| 2.972 | 43 |
| 2.875 | 19 |
| 2.167 | 23 |
| 2.138 | 46 |
| 2.001 | 35 |
| 1.865 | 22 |

Cell and atoms:
abc: 4.355 5.777 8.164
angles: 90.01 90.11 95.53
Fractional coordinates of all 12 atoms:
1 Ba 0.000 0.000 0.000
2 Fe 0.000 0.000 0.500
3 Pb 0.498 0.500 0.731
4 Pb 0.502 0.500 0.269
5 F 0.047 0.761 0.286
6 F 0.049 0.763 0.714
7 F 0.407 0.219 0.500
8 F 0.479 0.737 0.000
9 F 0.521 0.263 0.000
10 F 0.593 0.781 0.500
11 F 0.951 0.237 0.286
12 F 0.953 0.239 0.714

***

9.
The following is a theoretical powder XRD pattern of RbBa2Fe2F9. It was derived from a crystal structure in Alexandria, relaxed with PBE+U, using Cu Kα (weighted mean of Kα1 and Kα2).
Neutral-atom scattering factors, no anomalous dispersion.

Largest 10 diffraction maxima, low angle first, 10° ≤ 2θ ≤ 90°:
| d [Å] | intensity |
| --- | --- |
| 3.286 | 100 |
| 2.997 | 80 |
| 2.331 | 21 |
| 2.214 | 69 |
| 1.964 | 24 |
| 1.781 | 37 |
| 1.730 | 16 |
| 1.643 | 16 |
| 1.498 | 21 |
| 1.441 | 16 |

Cell and atoms:
abc: 7.875 7.875 7.875
angles: 44.73 44.73 44.73
Fractional coordinates of all 14 atoms:
1 Rb 0.000 0.000 0.000
2 Ba 0.214 0.214 0.214
3 Ba 0.420 0.420 0.420
4 Fe 0.609 0.609 0.609
5 Fe 0.822 0.822 0.822
6 F 0.002 0.478 0.478
7 F 0.221 0.707 0.707
8 F 0.432 0.948 0.948
9 F 0.478 0.002 0.478
10 F 0.478 0.478 0.002
11 F 0.707 0.221 0.707
12 F 0.707 0.707 0.221
13 F 0.948 0.432 0.948
14 F 0.948 0.948 0.432